Record 1
Simulated X-ray powder pattern of Li2AgI2Cl for Cu Kα X-rays, from DFT lattice parameters and positions (PBE).
Kinematic intensities with the Lorentz-polarization factor, no thermal factor.

Peak list (10 most intense, 2θ from 5° to 70°, low angle first)
2θ/deg  I_rel
18.21  100
23.13  60
24.76  49
26.28  79
26.47  43
28.20  37
29.71  39
40.89  50
44.53  55
48.39  30

Structural model:
Unit cell a=7.693 b=7.693 c=7.193 alpha=90.00 beta=90.00 gamma=59.39
Fractional positions:
Li (0.039, 0.665, 0.500)
Li (0.335, 0.961, 0.500)
Li (0.665, 0.039, 0.000)
Li (0.961, 0.335, 0.000)
Ag (0.331, 0.669, 0.966)
Ag (0.669, 0.331, 0.466)
I (0.008, 0.333, 0.613)
I (0.333, 0.008, 0.113)
I (0.667, 0.992, 0.613)
I (0.992, 0.667, 0.113)
Cl (0.332, 0.668, 0.592)
Cl (0.668, 0.332, 0.092)

Record 2
Simulated X-ray powder pattern of TlSb2P for Cu Kα X-rays, from DFT lattice parameters and positions (PBE).
Kinematic intensities with the Lorentz-polarization factor, no thermal factor.

Peak list (10 most intense, 2θ from 5° to 70°, low angle first)
2θ/deg  I_rel
9.61  18
28.24  29
28.80  26
29.10  41
30.95  78
32.48  100
36.27  29
49.64  42
51.74  18
58.57  35

Structural model:
Unit cell a=9.448 b=9.448 c=9.448 alpha=22.42 beta=22.42 gamma=22.42
Fractional positions:
Tl (0.000, 0.000, 0.000)
Sb (0.561, 0.561, 0.561)
Sb (0.767, 0.767, 0.767)
P (0.165, 0.165, 0.165)

Record 3
Simulated X-ray powder pattern of NpCo4Pt for Cu Kα X-rays, from DFT lattice parameters and positions (PBE).
Kinematic intensities with the Lorentz-polarization factor, no thermal factor.

Peak list (8 most intense, 2θ from 5° to 70°, low angle first)
2θ/deg  I_rel
22.30  31
25.80  1
36.81  79
43.46  100
45.50  10
53.04  3
58.24  8
66.31  29

Structural model:
Unit cell a=4.883 b=4.883 c=4.883 alpha=60.00 beta=60.00 gamma=60.00
Fractional positions:
Np (0.000, 0.000, 0.000)
Co (0.376, 0.376, 0.376)
Co (0.376, 0.376, 0.872)
Co (0.376, 0.872, 0.376)
Co (0.872, 0.376, 0.376)
Pt (0.750, 0.750, 0.750)

Record 4
Simulated X-ray powder pattern of Rb3Se5 for Cu Kα X-rays, from DFT lattice parameters and positions (PBE).
Kinematic intensities with the Lorentz-polarization factor, no thermal factor.

Peak list (10 most intense, 2θ from 5° to 70°, low angle first)
2θ/deg  I_rel
14.83  17
24.56  16
27.82  100
27.94  44
28.63  33
31.66  31
31.82  30
32.50  20
32.68  22
37.06  70

Structural model:
Unit cell a=6.812 b=9.034 c=10.916 alpha=84.32 beta=71.87 gamma=70.08
Fractional positions:
Rb (0.000, 0.000, 0.000)
Rb (0.067, 0.465, 0.857)
Rb (0.284, 0.961, 0.354)
Rb (0.378, 0.464, 0.175)
Rb (0.660, 0.964, 0.669)
Rb (0.741, 0.498, 0.525)
Se (0.024, 0.164, 0.687)
Se (0.187, 0.635, 0.552)
Se (0.222, 0.804, 0.697)
Se (0.447, 0.667, 0.838)
Se (0.472, 0.144, 0.973)
Se (0.658, 0.307, 0.828)
Se (0.719, 0.128, 0.332)
Se (0.792, 0.620, 0.198)
Se (0.865, 0.819, 0.301)
Se (0.916, 0.310, 0.222)

Record 5
Simulated X-ray powder pattern of Nd3SmZn3 for Cu Kα X-rays, from DFT lattice parameters and positions (PBE).
Kinematic intensities with the Lorentz-polarization factor, no thermal factor.

Peak list (10 most intense, 2θ from 5° to 70°, low angle first)
2θ/deg  I_rel
24.35  21
24.67  10
34.55  21
34.93  100
49.91  14
50.59  7
62.16  15
62.58  14
62.71  7
62.92  7

Structural model:
Unit cell a=7.310 b=7.310 c=7.217 alpha=90.00 beta=90.00 gamma=90.52
Fractional positions:
Nd (0.249, 0.751, 0.000)
Nd (0.252, 0.252, 0.000)
Nd (0.253, 0.253, 0.500)
Nd (0.747, 0.747, 0.500)
Nd (0.748, 0.748, 0.000)
Nd (0.751, 0.249, 0.000)
Sm (0.247, 0.753, 0.500)
Sm (0.753, 0.247, 0.500)
Zn (0.000, 0.000, 0.252)
Zn (0.000, 0.000, 0.748)
Zn (0.000, 0.500, 0.253)
Zn (0.000, 0.500, 0.747)
Zn (0.500, 0.000, 0.253)
Zn (0.500, 0.000, 0.747)

Record 6
Simulated X-ray powder pattern of YLuB8Ir8 for Cu Kα X-rays, from DFT lattice parameters and positions (PBE).
Kinematic intensities with the Lorentz-polarization factor, no thermal factor.

Peak list (10 most intense, 2θ from 5° to 70°, low angle first)
2θ/deg  I_rel
20.30  13
29.10  58
35.36  100
39.22  62
39.92  51
44.71  43
47.64  27
63.35  15
63.85  13
69.66  17

Structural model:
Unit cell a=5.399 b=5.399 c=7.459 alpha=90.00 beta=90.00 gamma=90.00
Fractional positions:
Y (0.000, 0.000, 0.000)
Lu (0.500, 0.500, 0.500)
B (0.000, 0.327, 0.347)
B (0.000, 0.673, 0.347)
B (0.172, 0.500, 0.847)
B (0.327, 0.000, 0.653)
B (0.500, 0.172, 0.153)
B (0.500, 0.828, 0.153)
B (0.673, 0.000, 0.653)
B (0.828, 0.500, 0.847)
Ir (0.000, 0.250, 0.643)
Ir (0.000, 0.750, 0.643)
Ir (0.250, 0.000, 0.357)
Ir (0.252, 0.500, 0.147)
Ir (0.500, 0.252, 0.853)
Ir (0.500, 0.748, 0.853)
Ir (0.748, 0.500, 0.147)
Ir (0.750, 0.000, 0.357)

Question: What is the formula in the third record?
Answer: NpCo4Pt